# 1
Starting from the PBE geometry in Alexandria, the powder XRD pattern of Ce4Tc2Au was computed for CuKα.

The 10 most intense peaks (15° ≤ 2θ ≤ 90°), by angle:
2θ 28.85, d 3.095, I 33; 2θ 31.29, d 2.859, I 14; 2θ 31.89, d 2.806, I 100; 2θ 32.26, d 2.775, I 22; 2θ 32.79, d 2.731, I 63; 2θ 37.06, d 2.426, I 37; 2θ 37.78, d 2.382, I 21; 2θ 38.61, d 2.332, I 33; 2θ 53.27, d 1.719, I 14; 2θ 66.68, d 1.403, I 14

Structure:
Cell: 7.762 7.503 8.916 Å, 55.63 52.92 71.45°
Fractional coordinates of all 14 atoms:
Ce  0.037  0.963  0.180
Ce  0.070  0.430  0.213
Ce  0.161  0.518  0.738
Ce  0.430  0.070  0.287
Ce  0.512  0.667  0.089
Ce  0.518  0.161  0.583
Ce  0.667  0.512  0.732
Ce  0.963  0.037  0.820
Tc  0.167  0.481  0.401
Tc  0.300  0.849  0.769
Tc  0.481  0.167  0.950
Tc  0.849  0.300  0.083
Au  0.655  0.655  0.345
Au  0.905  0.905  0.595



# 2
Starting from the PBE geometry in Alexandria, the powder XRD pattern of Ce3Te2Au was computed for CuKα.

The 10 most intense peaks (15° ≤ 2θ ≤ 90°), by angle:
2θ 28.43, d 3.139, I 87; 2θ 28.51, d 3.130, I 43; 2θ 40.69, d 2.218, I 100; 2θ 50.40, d 1.811, I 36; 2θ 58.98, d 1.566, I 11; 2θ 66.55, d 1.405, I 15; 2θ 66.74, d 1.402, I 23; 2θ 66.81, d 1.400, I 8; 2θ 73.93, d 1.282, I 11; 2θ 74.10, d 1.280, I 23

Structure:
Cell: 9.940 9.939 4.430 Å, 77.14 77.11 25.75°
Fractional coordinates of all 6 atoms:
Ce  0.000  0.000  0.000
Ce  0.336  0.336  0.664
Ce  0.664  0.664  0.336
Te  0.168  0.168  0.832
Te  0.832  0.832  0.168
Au  0.500  0.500  0.500



# 3
Starting from the PBE geometry in Alexandria, the powder XRD pattern of Ce2TeAu was computed for CuKα.

The 10 most intense peaks (15° ≤ 2θ ≤ 90°), by angle:
2θ 20.30, d 4.374, I 3; 2θ 33.45, d 2.679, I 100; 2θ 39.44, d 2.284, I 2; 2θ 48.03, d 1.894, I 18; 2θ 52.66, d 1.738, I 1; 2θ 59.80, d 1.547, I 38; 2θ 70.28, d 1.339, I 12; 2θ 74.02, d 1.281, I 1; 2θ 80.11, d 1.198, I 16; 2θ 89.65, d 1.094, I 4

Structure:
Cell: 5.358 5.358 5.358 Å, 60.00 60.00 60.00°
Fractional coordinates of all 4 atoms:
Ce  0.250  0.250  0.250
Ce  0.750  0.750  0.750
Te  0.000  0.000  0.000
Au  0.500  0.500  0.500



# 4
Starting from the PBE geometry in Alexandria, the powder XRD pattern of Ce2TeAu was computed for CuKα.

The 10 most intense peaks (15° ≤ 2θ ≤ 90°), by angle:
2θ 28.94, d 3.086, I 100; 2θ 29.84, d 2.995, I 45; 2θ 30.84, d 2.899, I 26; 2θ 34.37, d 2.610, I 21; 2θ 38.53, d 2.336, I 36; 2θ 39.13, d 2.302, I 94; 2θ 43.40, d 2.085, I 25; 2θ 49.48, d 1.842, I 22; 2θ 53.55, d 1.711, I 20; 2θ 67.88, d 1.381, I 22

Structure:
Cell: 12.159 12.159 4.673 Å, 90.00 90.00 160.25°
Fractional coordinates of all 8 atoms:
Ce  0.060  0.940  0.750
Ce  0.325  0.675  0.750
Ce  0.675  0.325  0.250
Ce  0.940  0.060  0.250
Te  0.192  0.808  0.750
Te  0.808  0.192  0.250
Au  0.457  0.543  0.750
Au  0.543  0.457  0.250



# 5
Starting from the PBE geometry in Alexandria, the powder XRD pattern of Ce3ThAu7 was computed for CuKα.

The 10 most intense peaks (15° ≤ 2θ ≤ 90°), by angle:
2θ 23.58, d 3.773, I 25; 2θ 29.69, d 3.009, I 25; 2θ 31.70, d 2.822, I 100; 2θ 33.74, d 2.657, I 73; 2θ 36.91, d 2.435, I 36; 2θ 38.21, d 2.355, I 51; 2θ 42.34, d 2.135, I 37; 2θ 44.34, d 2.043, I 26; 2θ 47.53, d 1.913, I 36; 2θ 62.55, d 1.485, I 26

Structure:
Cell: 11.477 11.477 12.753 Å, 90.00 90.00 160.81°
Fractional coordinates of all 22 atoms:
Ce  0.143  0.857  0.563
Ce  0.143  0.857  0.937
Ce  0.198  0.802  0.250
Ce  0.802  0.198  0.750
Ce  0.857  0.143  0.063
Ce  0.857  0.143  0.437
Th  0.010  0.990  0.250
Th  0.990  0.010  0.750
Au  0.278  0.722  0.568
Au  0.278  0.722  0.932
Au  0.380  0.620  0.250
Au  0.400  0.600  0.634
Au  0.400  0.600  0.866
Au  0.463  0.537  0.080
Au  0.463  0.537  0.420
Au  0.537  0.463  0.580
Au  0.537  0.463  0.920
Au  0.600  0.400  0.134
Au  0.600  0.400  0.366
Au  0.620  0.380  0.750
Au  0.722  0.278  0.068
Au  0.722  0.278  0.432



# 6
Starting from the PBE geometry in Alexandria, the powder XRD pattern of CeThAu4 was computed for CuKα.

The 10 most intense peaks (15° ≤ 2θ ≤ 90°), by angle:
2θ 33.51, d 2.674, I 100; 2θ 33.73, d 2.657, I 51; 2θ 37.10, d 2.424, I 45; 2θ 37.70, d 2.386, I 86; 2θ 51.01, d 1.791, I 33; 2θ 52.57, d 1.741, I 17; 2θ 65.68, d 1.422, I 16; 2θ 66.09, d 1.414, I 17; 2θ 66.49, d 1.406, I 33; 2θ 67.26, d 1.392, I 16

Structure:
Cell: 3.482 4.847 8.223 Å, 90.00 90.00 90.00°
Fractional coordinates of all 6 atoms:
Ce  0.000  0.000  0.000
Th  0.000  0.500  0.500
Au  0.500  0.000  0.332
Au  0.500  0.000  0.668
Au  0.500  0.500  0.168
Au  0.500  0.500  0.832



# 7
Starting from the PBE geometry in Alexandria, the powder XRD pattern of Ce3ThAu4 was computed for CuKα.

The 10 most intense peaks (15° ≤ 2θ ≤ 90°), by angle:
2θ 34.13, d 2.627, I 51; 2θ 34.38, d 2.608, I 100; 2θ 49.03, d 1.858, I 18; 2θ 49.80, d 1.831, I 9; 2θ 61.26, d 1.513, I 37; 2θ 61.75, d 1.502, I 19; 2θ 72.47, d 1.304, I 12; 2θ 81.94, d 1.176, I 4; 2θ 82.13, d 1.174, I 12; 2θ 83.32, d 1.160, I 8

Structure:
Cell: 10.498 7.324 5.260 Å, 90.00 90.00 90.00°
Fractional coordinates of all 16 atoms:
Ce  0.000  0.000  0.000
Ce  0.250  0.000  0.483
Ce  0.250  0.500  0.482
Ce  0.500  0.000  0.000
Ce  0.750  0.000  0.517
Ce  0.750  0.500  0.518
Th  0.000  0.500  0.000
Th  0.500  0.500  0.000
Au  0.000  0.250  0.500
Au  0.000  0.750  0.500
Au  0.250  0.250  0.979
Au  0.250  0.750  0.979
Au  0.500  0.250  0.500
Au  0.500  0.750  0.500
Au  0.750  0.250  0.021
Au  0.750  0.750  0.021



# 8
Starting from the PBE geometry in Alexandria, the powder XRD pattern of CeTh3Au was computed for CuKα.

The 10 most intense peaks (15° ≤ 2θ ≤ 90°), by angle:
2θ 30.49, d 2.932, I 100; 2θ 31.88, d 2.807, I 71; 2θ 32.41, d 2.762, I 96; 2θ 33.10, d 2.707, I 17; 2θ 36.29, d 2.475, I 40; 2θ 41.12, d 2.195, I 16; 2θ 44.72, d 2.026, I 22; 2θ 45.93, d 1.976, I 14; 2θ 52.95, d 1.729, I 17; 2θ 57.15, d 1.612, I 20

Structure:
Cell: 6.634 6.634 8.872 Å, 97.26 97.26 50.06°
Fractional coordinates of all 10 atoms:
Ce  0.052  0.052  0.145
Ce  0.948  0.948  0.855
Th  0.130  0.130  0.631
Th  0.354  0.354  0.036
Th  0.433  0.433  0.657
Th  0.567  0.567  0.343
Th  0.646  0.646  0.964
Th  0.870  0.870  0.369
Au  0.272  0.272  0.354
Au  0.728  0.728  0.646



# 9
Starting from the PBE geometry in Alexandria, the powder XRD pattern of Ce11Tl9Au4 was computed for CuKα.

The 10 most intense peaks (15° ≤ 2θ ≤ 90°), by angle:
2θ 30.82, d 2.901, I 40; 2θ 31.65, d 2.827, I 28; 2θ 33.02, d 2.713, I 100; 2θ 33.32, d 2.689, I 78; 2θ 33.86, d 2.647, I 86; 2θ 35.45, d 2.532, I 30; 2θ 36.79, d 2.443, I 20; 2θ 48.20, d 1.888, I 30; 2θ 59.88, d 1.545, I 43; 2θ 62.10, d 1.495, I 20

Structure:
Cell: 13.599 13.599 3.776 Å, 90.00 90.00 110.00°
Fractional coordinates of all 24 atoms:
Ce  0.000  0.000  0.000
Ce  0.058  0.431  0.000
Ce  0.151  0.849  0.000
Ce  0.305  0.305  0.000
Ce  0.369  0.631  0.000
Ce  0.431  0.058  0.000
Ce  0.569  0.942  0.000
Ce  0.631  0.369  0.000
Ce  0.695  0.695  0.000
Ce  0.849  0.151  0.000
Ce  0.942  0.569  0.000
Tl  0.072  0.222  0.500
Tl  0.158  0.643  0.500
Tl  0.222  0.072  0.500
Tl  0.357  0.842  0.500
Tl  0.500  0.500  0.500
Tl  0.643  0.158  0.500
Tl  0.778  0.928  0.500
Tl  0.842  0.357  0.500
Tl  0.928  0.778  0.500
Au  0.245  0.453  0.500
Au  0.453  0.245  0.500
Au  0.547  0.755  0.500
Au  0.755  0.547  0.500



# 10
Starting from the PBE geometry in Alexandria, the powder XRD pattern of Ce3TmAu4 was computed for CuKα.

The 10 most intense peaks (15° ≤ 2θ ≤ 90°), by angle:
2θ 34.42, d 2.606, I 100; 2θ 35.38, d 2.537, I 48; 2θ 47.99, d 1.896, I 9; 2θ 50.91, d 1.794, I 18; 2θ 61.02, d 1.518, I 17; 2θ 62.90, d 1.478, I 35; 2θ 72.56, d 1.303, I 11; 2θ 80.59, d 1.192, I 6; 2θ 85.06, d 1.140, I 8; 2θ 85.62, d 1.134, I 8

Structure:
Cell: 3.587 3.587 15.165 Å, 90.00 90.00 90.00°
Fractional coordinates of all 8 atoms:
Ce  0.000  0.000  0.000
Ce  0.000  0.000  0.255
Ce  0.000  0.000  0.745
Tm  0.000  0.000  0.500
Au  0.500  0.500  0.127
Au  0.500  0.500  0.390
Au  0.500  0.500  0.610
Au  0.500  0.500  0.873



# 11
Starting from the PBE geometry in Alexandria, the powder XRD pattern of Ce2TmAu6 was computed for CuKα.

The 10 most intense peaks (15° ≤ 2θ ≤ 90°), by angle:
2θ 32.60, d 2.746, I 72; 2θ 34.09, d 2.630, I 62; 2θ 35.34, d 2.540, I 49; 2θ 37.72, d 2.385, I 100; 2θ 40.25, d 2.240, I 45; 2θ 43.69, d 2.072, I 23; 2θ 51.83, d 1.764, I 25; 2θ 61.60, d 1.506, I 33; 2θ 62.51, d 1.486, I 23; 2θ 66.70, d 1.402, I 13

Structure:
Cell: 8.661 8.661 5.295 Å, 98.83 98.83 144.09°
Fractional coordinates of all 9 atoms:
Ce  0.166  0.834  0.000
Ce  0.834  0.166  0.000
Tm  0.500  0.500  0.500
Au  0.159  0.159  0.827
Au  0.175  0.497  0.666
Au  0.497  0.175  0.666
Au  0.503  0.825  0.334
Au  0.825  0.503  0.334
Au  0.841  0.841  0.173



# 12
Starting from the PBE geometry in Alexandria, the powder XRD pattern of Ce4ZnAu3 was computed for CuKα.

The 10 most intense peaks (15° ≤ 2θ ≤ 90°), by angle:
2θ 31.00, d 2.885, I 23; 2θ 31.22, d 2.865, I 86; 2θ 33.06, d 2.709, I 20; 2θ 36.60, d 2.455, I 35; 2θ 38.42, d 2.343, I 100; 2θ 47.65, d 1.908, I 17; 2θ 61.25, d 1.513, I 15; 2θ 61.52, d 1.507, I 19; 2θ 62.84, d 1.479, I 15; 2θ 74.71, d 1.271, I 17

Structure:
Cell: 3.817 4.679 11.539 Å, 90.00 90.00 90.00°
Fractional coordinates of all 8 atoms:
Ce  0.000  0.000  0.000
Ce  0.000  0.500  0.286
Ce  0.500  0.000  0.501
Ce  0.500  0.500  0.789
Zn  0.000  0.000  0.720
Au  0.000  0.500  0.571
Au  0.500  0.000  0.228
Au  0.500  0.500  0.062